The following is a calculated X-ray powder pattern of LiU4Se. It was derived from the PBE geometry in OQMD, using Cu Ka.
Neutral-atom scattering factors, no anomalous dispersion.

Structural model:
```
data_LiU4Se
_cell_length_a 5.0110
_cell_length_b 5.0110
_cell_length_c 16.2817
_cell_angle_alpha 90.00
_cell_angle_beta 90.00
_cell_angle_gamma 120.00
_space_group_name_H-M_alt 'R -3 m'
_space_group_IT_number 166
_space_group_name_Hall '-R 3 2"'
loop_
_atom_site_label
_atom_site_type_symbol
_atom_site_fract_x
_atom_site_fract_y
_atom_site_fract_z
Li1 Li 0.0000 0.0000 0.0000
U1 U 0.0000 0.0000 0.1820
U2 U 0.0000 0.0000 0.3349
Se1 Se 0.0000 0.0000 0.5000
```

Main lines, low angle first (2θ from 10° to 80°):
23.23°, rel. 55, (0 1 2); 33.01°, rel. 35, (0 0 6); 35.84°, rel. 100, (1 1 0); 43.15°, rel. 12, (2 0 2); 44.18°, rel. 9, (1 0 7); 49.51°, rel. 82, (1 1 6); 57.30°, rel. 10, (1 2 2); 64.41°, rel. 19, (3 0 0); 74.29°, rel. 30, (3 0 6); 75.96°, rel. 12, (2 2 0)